Record 1
Starting from DFT lattice parameters and positions (GGA-PBE), the powder XRD pattern of TbCeEr2In4 was simulated for Cu Kα X-rays.
Intensities are scaled so that the largest is 100.

Structural model:
abc: 9.286 9.286 9.286
angles: 33.37 33.37 33.37
Fractional positions:
Tb 0.000 0.000 0.000
Ce 0.500 0.500 0.500
Er 0.250 0.250 0.250
Er 0.750 0.750 0.750
In 0.124 0.124 0.124
In 0.374 0.374 0.374
In 0.626 0.626 0.626
In 0.876 0.876 0.876

Most intense lines, 5 to 70 degrees two-theta, in order of falling intensity:
- 2θ = 33.47°, intensity 100
- 2θ = 33.61°, intensity 99
- 2θ = 60.05°, intensity 55
- 2θ = 48.17°, intensity 36
- 2θ = 59.75°, intensity 18
- 2θ = 23.55°, intensity 5
- 2θ = 54.20°, intensity 1
- 2θ = 41.45°, intensity 1

***

Record 2
Starting from DFT lattice parameters and positions (GGA-PBE), the powder XRD pattern of CeErZrIn was simulated for Cu Kα X-rays.
Intensities are scaled so that the largest is 100.

Structural model:
abc: 5.222 5.222 5.222
angles: 60.00 60.00 60.00
Fractional positions:
Ce 0.000 0.000 0.000
Er 0.750 0.750 0.750
Zr 0.250 0.250 0.250
In 0.500 0.500 0.500

Most intense lines, 5 to 70 degrees two-theta, in order of falling intensity:
- 2θ = 34.34°, intensity 100
- 2θ = 61.51°, intensity 36
- 2θ = 49.36°, intensity 18
- 2θ = 20.83°, intensity 5
- 2θ = 40.51°, intensity 3
- 2θ = 54.13°, intensity 1
- 2θ = 65.69°, intensity 1

***

Record 3
Starting from DFT lattice parameters and positions (GGA-PBE), the powder XRD pattern of CeErIr was simulated for Cu Kα X-rays.
Intensities are scaled so that the largest is 100.

Structural model:
abc: 4.916 6.676 6.676
angles: 43.22 90.00 90.00
Fractional positions:
Ce 0.250 0.248 0.752
Ce 0.750 0.752 0.248
Er 0.250 0.983 0.485
Er 0.750 0.485 0.983
Ir 0.250 0.611 0.119
Ir 0.750 0.119 0.611

Most intense lines, 5 to 70 degrees two-theta, in order of falling intensity:
- 2θ = 33.67°, intensity 100
- 2θ = 36.55°, intensity 52
- 2θ = 63.97°, intensity 32
- 2θ = 44.86°, intensity 29
- 2θ = 14.27°, intensity 27
- 2θ = 52.65°, intensity 18
- 2θ = 39.42°, intensity 9
- 2θ = 58.29°, intensity 9